No. 1
This entry pairs a crystal structure of LuTlTcNi with its computed PXRD pattern. Radiation: λ = 1.5418 Å (Cu Kα). Structure: a cell relaxed with GGA-PBE.
Kinematic intensities with the Lorentz-polarization factor, no thermal factor.

Main lines, most intense first (10° ≤ 2θ ≤ 80°):
2θ/deg  I/Imax
38.66  100
69.97  35
27.08  18
55.83  17
63.12  8
47.84  6
23.39  2
45.68  1

Lattice parameters (Å, degrees): 6.5867 6.5867 6.5867 90.00 90.00 90.00
Element x y z (fractional)
Lu1 0.0000 0.0000 0.0000
Lu2 0.0000 0.5000 0.5000
Lu3 0.5000 0.0000 0.5000
Lu4 0.5000 0.5000 0.0000
Tl1 0.0000 0.0000 0.5000
Tl2 0.0000 0.5000 0.0000
Tl3 0.5000 0.0000 0.0000
Tl4 0.5000 0.5000 0.5000
Tc1 0.2500 0.2500 0.2500
Tc2 0.2500 0.7500 0.7500
Tc3 0.7500 0.2500 0.7500
Tc4 0.7500 0.7500 0.2500
Ni1 0.2500 0.2500 0.7500
Ni2 0.2500 0.7500 0.2500
Ni3 0.7500 0.2500 0.2500
Ni4 0.7500 0.7500 0.7500

***

No. 2
This entry pairs a crystal structure of NiW3CN with its computed PXRD pattern. Radiation: λ = 1.5418 Å (Cu Kα). Structure: a cell relaxed with GGA-PBE.
Kinematic intensities with the Lorentz-polarization factor, no thermal factor.

Main lines, most intense first (10° ≤ 2θ ≤ 80°):
2θ/deg  I/Imax
40.62  100
42.96  52
36.43  45
27.02  29
64.99  29
36.30  26
55.80  24
76.80  23
37.30  17
59.71  16
79.52  14
71.72  13

Lattice parameters (Å, degrees): 2.8701 2.8701 19.7971 90.00 90.00 120.00
Element x y z (fractional)
Ni1 0.0000 0.0000 0.2466
Ni2 0.0000 0.0000 0.7534
W1 0.0000 0.0000 0.0000
W2 0.0000 0.0000 0.5000
W3 0.3333 0.6667 0.6475
W4 0.3333 0.6667 0.8608
W5 0.6667 0.3333 0.1392
W6 0.6667 0.3333 0.3525
C1 0.3333 0.6667 0.0719
C2 0.6667 0.3333 0.9281
N1 0.3333 0.6667 0.4248
N2 0.6667 0.3333 0.5752

***

No. 3
This entry pairs a crystal structure of ErLuScFeSi3 with its computed PXRD pattern. Radiation: λ = 1.5418 Å (Cu Kα). Structure: a cell relaxed with GGA-PBE.
Kinematic intensities with the Lorentz-polarization factor, no thermal factor.

Main lines, most intense first (10° ≤ 2θ ≤ 80°):
2θ/deg  I/Imax
34.78  100
35.27  73
34.63  68
30.12  53
23.94  52
44.74  36
27.52  31
28.50  30
42.76  25
44.33  24
58.24  22
57.88  18

Lattice parameters (Å, degrees): 5.4738 5.4738 13.1139 109.25 109.25 43.44
Element x y z (fractional)
Er1 0.2486 0.2486 0.2675
Er2 0.7514 0.7514 0.7325
Lu1 0.3988 0.3988 0.5818
Lu2 0.6012 0.6012 0.4182
Sc1 0.4723 0.4723 0.1175
Sc2 0.5277 0.5277 0.8825
Fe1 0.2499 0.2499 0.9167
Fe2 0.7501 0.7501 0.0833
Si1 0.0524 0.0524 0.7461
Si2 0.1138 0.1138 0.5758
Si3 0.1363 0.1363 0.0401
Si4 0.8637 0.8637 0.9599
Si5 0.8862 0.8862 0.4242
Si6 0.9476 0.9476 0.2539

***

No. 4
This entry pairs a crystal structure of Te2Pd11 with its computed PXRD pattern. Radiation: λ = 1.5418 Å (Cu Kα). Structure: a cell relaxed with GGA-PBE.
Kinematic intensities with the Lorentz-polarization factor, no thermal factor.

Main lines, most intense first (10° ≤ 2θ ≤ 80°):
2θ/deg  I/Imax
38.56  100
10.05  69
43.62  69
39.53  44
40.42  43
49.57  24
39.68  21
67.51  17
68.74  17
61.36  14
76.08  14
75.49  13

Lattice parameters (Å, degrees): 5.8673 5.8673 17.6026 91.22 91.22 29.84
Element x y z (fractional)
Te1 0.1117 0.1117 0.1958
Te2 0.8883 0.8883 0.8042
Pd1 0.0000 0.0000 0.5000
Pd2 0.0550 0.0550 0.3465
Pd3 0.2539 0.2539 0.7103
Pd4 0.3146 0.3146 0.5511
Pd5 0.3682 0.3682 0.3957
Pd6 0.4283 0.4283 0.2352
Pd7 0.5717 0.5717 0.7648
Pd8 0.6318 0.6318 0.6043
Pd9 0.6854 0.6854 0.4489
Pd10 0.7461 0.7461 0.2897
Pd11 0.9450 0.9450 0.6535

***

No. 5
This entry pairs a crystal structure of PrSe2 with its computed PXRD pattern. Radiation: λ = 1.5418 Å (Cu Kα). Structure: a cell relaxed with GGA-PBE.
Kinematic intensities with the Lorentz-polarization factor, no thermal factor.

Main lines, most intense first (10° ≤ 2θ ≤ 80°):
2θ/deg  I/Imax
24.48  100
14.78  86
29.93  77
41.34  65
41.15  63
35.21  59
57.24  39
40.98  37
23.61  34
32.45  34
38.18  33
25.87  29

Lattice parameters (Å, degrees): 4.4061 4.4061 23.9749 90.00 90.00 120.01
Element x y z (fractional)
Pr1 0.0992 0.3949 0.3768
Pr2 0.3949 0.0992 0.6232
Pr3 0.6051 0.9008 0.1232
Pr4 0.9008 0.6051 0.8768
Se1 0.2314 0.2743 0.8170
Se2 0.2409 0.2651 0.9480
Se3 0.2651 0.2409 0.0520
Se4 0.2743 0.2314 0.1830
Se5 0.7257 0.7686 0.6830
Se6 0.7349 0.7591 0.5520
Se7 0.7591 0.7349 0.4480
Se8 0.7686 0.7257 0.3170

***

No. 6
This entry pairs a crystal structure of Nd2DyZn2Si4Au2 with its computed PXRD pattern. Radiation: λ = 1.5418 Å (Cu Kα). Structure: a cell relaxed with GGA-PBE.
Kinematic intensities with the Lorentz-polarization factor, no thermal factor.

Main lines, most intense first (10° ≤ 2θ ≤ 80°):
2θ/deg  I/Imax
33.40  100
33.12  24
42.88  18
43.04  17
28.88  16
23.70  14
72.53  13
45.73  12
62.38  12
55.24  11
72.75  11
42.14  10

Lattice parameters (Å, degrees): 12.7186 12.7186 12.7186 160.98 160.91 27.08
Element x y z (fractional)
Nd1 0.1441 0.1441 0.0000
Nd2 0.8559 0.8559 0.0000
Dy1 0.5000 0.0000 0.5000
Zn1 0.4069 0.4069 0.0000
Zn2 0.5931 0.5931 0.0000
Si1 0.0470 0.5470 0.5000
Si2 0.3106 0.3106 0.0000
Si3 0.6894 0.6894 0.0000
Si4 0.9530 0.4530 0.5000
Au1 0.2490 0.7490 0.5000
Au2 0.7510 0.2510 0.5000

***

No. 7
This entry pairs a crystal structure of LaPrNi2B2Pt6 with its computed PXRD pattern. Radiation: λ = 1.5418 Å (Cu Kα). Structure: a cell relaxed with GGA-PBE.
Kinematic intensities with the Lorentz-polarization factor, no thermal factor.

Main lines, most intense first (10° ≤ 2θ ≤ 80°):
2θ/deg  I/Imax
37.86  100
30.64  57
40.96  51
45.36  44
68.37  24
56.99  20
24.07  20
53.57  20
63.79  18
75.76  18
36.45  15
63.93  14

Lattice parameters (Å, degrees): 5.4884 5.4884 7.3942 90.00 90.00 120.00
Element x y z (fractional)
La1 0.0000 0.0000 0.0000
Pr1 0.0000 0.0000 0.5000
Ni1 0.3333 0.6667 0.5000
Ni2 0.6667 0.3333 0.5000
B1 0.3333 0.6667 0.0000
B2 0.6667 0.3333 0.0000
Pt1 0.0000 0.5000 0.2122
Pt2 0.0000 0.5000 0.7878
Pt3 0.5000 0.0000 0.2122
Pt4 0.5000 0.0000 0.7878
Pt5 0.5000 0.5000 0.2122
Pt6 0.5000 0.5000 0.7878

***

No. 8
This entry pairs a crystal structure of TmNb2F with its computed PXRD pattern. Radiation: λ = 1.5418 Å (Cu Kα). Structure: a cell relaxed with GGA-PBE.
Kinematic intensities with the Lorentz-polarization factor, no thermal factor.

Main lines, most intense first (10° ≤ 2θ ≤ 80°):
2θ/deg  I/Imax
39.60  100
36.11  48
27.23  43
59.21  38
36.59  25
36.21  24
34.90  23
44.85  20
62.71  16
51.48  14
69.66  12
74.85  12

Lattice parameters (Å, degrees): 9.8240 2.9715 5.1271 90.00 90.00 90.00
Element x y z (fractional)
Tm1 0.0000 0.0000 0.0000
Tm2 0.0000 0.5000 0.5000
Nb1 0.2864 0.0000 0.3343
Nb2 0.2864 0.5000 0.8343
Nb3 0.7136 0.0000 0.3343
Nb4 0.7136 0.5000 0.8343
F1 0.5000 0.0000 0.3340
F2 0.5000 0.5000 0.8340

***

No. 9
This entry pairs a crystal structure of BW8C4 with its computed PXRD pattern. Radiation: λ = 1.5418 Å (Cu Kα). Structure: a cell relaxed with GGA-PBE.
Kinematic intensities with the Lorentz-polarization factor, no thermal factor.

Main lines, most intense first (10° ≤ 2θ ≤ 80°):
2θ/deg  I/Imax
38.99  100
35.18  66
41.04  56
40.29  39
36.08  38
74.37  29
43.82  29
72.51  27
31.77  27
37.13  23
61.64  18
60.51  17

Lattice parameters (Å, degrees): 9.9576 10.4300 6.1203 90.00 90.00 90.00
Element x y z (fractional)
B1 0.1446 0.2500 0.1241
B2 0.3554 0.7500 0.6241
B3 0.6446 0.2500 0.3759
B4 0.8554 0.7500 0.8759
W1 0.0197 0.1227 0.3714
W2 0.0197 0.3773 0.3714
W3 0.0246 0.1229 0.8747
W4 0.0246 0.3771 0.8747
W5 0.1957 0.7500 0.3637
W6 0.2057 0.7500 0.8972
W7 0.2474 0.0136 0.1275
W8 0.2474 0.4864 0.1275
W9 0.2526 0.5136 0.6275
W10 0.2526 0.9864 0.6275
W11 0.2943 0.2500 0.3972
W12 0.3043 0.2500 0.8637
W13 0.4754 0.6229 0.3747
W14 0.4754 0.8771 0.3747
W15 0.4803 0.6227 0.8714
W16 0.4803 0.8773 0.8714
W17 0.5197 0.1227 0.1286
W18 0.5197 0.3773 0.1286
W19 0.5246 0.1229 0.6253
W20 0.5246 0.3771 0.6253
W21 0.6957 0.7500 0.1363
W22 0.7057 0.7500 0.6028
W23 0.7474 0.0136 0.3725
W24 0.7474 0.4864 0.3725
W25 0.7526 0.5136 0.8725
W26 0.7526 0.9864 0.8725
W27 0.7943 0.2500 0.1028
W28 0.8043 0.2500 0.6363
W29 0.9754 0.6229 0.1253
W30 0.9754 0.8771 0.1253
W31 0.9803 0.6227 0.6286
W32 0.9803 0.8773 0.6286
C1 0.1122 0.5647 0.3728
C2 0.1122 0.9353 0.3728
C3 0.1131 0.5687 0.8813
C4 0.1131 0.9313 0.8813
C5 0.3869 0.0687 0.3813
C6 0.3869 0.4313 0.3813
C7 0.3878 0.0647 0.8728
C8 0.3878 0.4353 0.8728
C9 0.6122 0.5647 0.1272
C10 0.6122 0.9353 0.1272
C11 0.6131 0.5687 0.6187
C12 0.6131 0.9313 0.6187
C13 0.8869 0.0687 0.1187
C14 0.8869 0.4313 0.1187
C15 0.8878 0.0647 0.6272
C16 0.8878 0.4353 0.6272

***

No. 10
This entry pairs a crystal structure of Cu5Ag4 with its computed PXRD pattern. Radiation: λ = 1.5418 Å (Cu Kα). Structure: a cell relaxed with GGA-PBE.
Kinematic intensities with the Lorentz-polarization factor, no thermal factor.

Main lines, most intense first (10° ≤ 2θ ≤ 80°):
2θ/deg  I/Imax
40.38  100
46.38  33
69.07  18
48.13  15
67.69  10
23.80  5
32.53  2
28.67  2
50.26  1
59.31  1
55.23  1
36.05  1

Lattice parameters (Å, degrees): 12.6744 12.6744 12.6744 167.46 162.84 21.31
Element x y z (fractional)
Cu1 0.0000 0.0000 0.0000
Cu2 0.1122 0.1122 0.0000
Cu3 0.2247 0.2247 0.0000
Cu4 0.7753 0.7753 0.0000
Cu5 0.8878 0.8878 0.0000
Ag1 0.3309 0.3309 0.0000
Ag2 0.4437 0.4437 0.0000
Ag3 0.5563 0.5563 0.0000
Ag4 0.6691 0.6691 0.0000

***

- Number 4 is which compound?
  Te2Pd11